Diffraction record for Li2CdBr. The powder XRD pattern is theoretical, not measured: it uses DFT lattice parameters and positions (GGA-PBE) and Cu Kα X-rays.
Lines closer than 0.1° are merged.

Principal peaks in the range 15 to 90 degrees two-theta, in order of rising 2θ:
2theta  d_spacing  Rel. int.
25.35  3.513  100
26.77  3.331  44
36.16  2.484  48
37.20  2.417  89
45.55  1.991  40
52.06  1.757  16
58.77  1.571  18
59.49  1.554  17
61.63  1.505  16
65.71  1.421  32

Structure:
```
Li2CdBr
1.0
3.513 0.000 0.000
0.000 3.513 0.000
0.000 0.000 6.662
Li Cd Br
2 1 1
Direct
0.000 0.000 0.248
0.000 0.000 0.752
0.500 0.500 0.500
0.500 0.500 0.000
```


Diffraction record for LiCd2Br6. The powder XRD pattern is theoretical, not measured: it uses DFT lattice parameters and positions (GGA-PBE) and Cu Kα X-rays.
Lines closer than 0.1° are merged.

Principal peaks in the range 15 to 90 degrees two-theta, in order of rising 2θ:
2theta  d_spacing  Rel. int.
21.02  4.227  26
24.72  3.602  28
24.94  3.570  25
25.29  3.522  71
25.99  3.429  44
28.07  3.179  100
32.30  2.771  24
43.27  2.091  93
44.17  2.051  53
52.71  1.737  24

Structure:
```
LiCd2Br6
1.0
6.932 -5.545 0.000
6.932 5.545 0.000
-1.107 0.000 7.524
Li Cd Br
2 4 12
Direct
0.097 0.903 0.750
0.903 0.097 0.250
0.212 0.391 0.684
0.391 0.212 0.184
0.609 0.788 0.816
0.788 0.609 0.316
0.034 0.189 0.601
0.113 0.642 0.887
0.189 0.034 0.101
0.277 0.474 0.379
0.358 0.887 0.613
0.474 0.277 0.879
0.526 0.723 0.121
0.642 0.113 0.387
0.723 0.526 0.621
0.811 0.966 0.899
0.887 0.358 0.113
0.966 0.811 0.399
```


Diffraction record for LiCdTeMoBr. The powder XRD pattern is theoretical, not measured: it uses DFT lattice parameters and positions (GGA-PBE) and Cu Kα X-rays.
Lines closer than 0.1° are merged.

Principal peaks in the range 15 to 90 degrees two-theta, in order of rising 2θ:
2theta  d_spacing  Rel. int.
26.58  3.353  55
27.06  3.295  28
34.69  2.586  47
34.88  2.572  51
37.38  2.406  100
41.39  2.181  29
41.50  2.176  28
41.62  2.170  31
41.73  2.165  28
53.89  1.701  34

Structure:
```
LiCdTeMoBr
1.0
3.402 0.000 0.000
0.000 3.403 0.000
-1.624 -1.674 9.885
Li Cd Te Mo Br
1 1 1 1 1
Direct
0.000 0.000 0.000
0.606 0.610 0.223
0.760 0.768 0.546
0.190 0.197 0.401
0.462 0.461 0.921
```


Diffraction record for LiCdTeMoBr. The powder XRD pattern is theoretical, not measured: it uses DFT lattice parameters and positions (GGA-PBE) and Cu Kα X-rays.
Lines closer than 0.1° are merged.

Principal peaks in the range 15 to 90 degrees two-theta, in order of rising 2θ:
2theta  d_spacing  Rel. int.
25.33  3.517  58
27.24  3.273  68
27.92  3.195  100
32.02  2.795  92
34.72  2.584  94
36.83  2.440  87
38.23  2.354  74
38.85  2.318  77
41.15  2.194  60
45.78  1.982  47

Structure:
```
LiCdTeMoBr
1.0
9.441 0.000 0.000
0.000 3.430 0.000
-2.886 0.000 7.321
Li Cd Te Mo Br
2 2 2 2 2
Direct
0.000 0.000 0.000
0.500 0.500 0.000
0.192 0.500 0.403
0.692 0.000 0.403
0.037 0.500 0.709
0.537 0.000 0.709
0.255 0.000 0.718
0.755 0.500 0.718
0.344 0.000 0.092
0.844 0.500 0.092
```


Diffraction record for LiCdTeMoBr. The powder XRD pattern is theoretical, not measured: it uses DFT lattice parameters and positions (GGA-PBE) and Cu Kα X-rays.
Lines closer than 0.1° are merged.

Principal peaks in the range 15 to 90 degrees two-theta, in order of rising 2θ:
2theta  d_spacing  Rel. int.
26.73  3.335  27
26.87  3.318  49
29.74  3.004  36
34.84  2.575  82
37.81  2.379  86
41.45  2.178  100
46.91  1.937  23
54.54  1.683  29
66.36  1.409  24
70.75  1.332  40

Structure:
```
LiCdTeMoBr
1.0
3.365 0.000 0.000
0.000 3.365 0.000
0.000 0.000 20.008
Li Cd Te Mo Br
2 2 2 2 2
Direct
0.000 0.000 0.000
0.500 0.500 0.500
0.000 0.000 0.690
0.500 0.500 0.190
0.000 0.000 0.854
0.500 0.500 0.354
0.000 0.000 0.280
0.500 0.500 0.780
0.000 0.000 0.541
0.500 0.500 0.041
```


Diffraction record for Rb2Li2CdBr6. The powder XRD pattern is theoretical, not measured: it uses DFT lattice parameters and positions (GGA-PBE) and Cu Kα X-rays.
Lines closer than 0.1° are merged.

Principal peaks in the range 15 to 90 degrees two-theta, in order of rising 2θ:
2theta  d_spacing  Rel. int.
24.68  3.607  90
26.82  3.324  85
27.16  3.283  100
29.97  2.982  38
31.79  2.815  96
32.47  2.758  37
33.35  2.686  37
35.84  2.505  29
40.98  2.202  56
46.15  1.967  35

Structure:
```
Rb2Li2CdBr6
1.0
6.655 -3.933 0.000
6.655 3.933 0.000
-3.645 0.000 7.356
Rb Li Cd Br
2 2 1 6
Direct
0.207 0.207 0.168
0.793 0.793 0.832
0.435 0.435 0.715
0.565 0.565 0.285
0.000 0.000 0.500
0.195 0.708 0.222
0.233 0.233 0.602
0.292 0.805 0.778
0.708 0.195 0.222
0.767 0.767 0.398
0.805 0.292 0.778
```